# 1
This entry pairs a crystal structure of Pm4Nd3Ho3 with its computed X-ray powder pattern. Radiation: Cu Kα. Structure: the PBE geometry in Alexandria.

Largest 10 diffraction maxima, low angle first, 2θ from 10° to 90°:
2θ = 29.77°, I = 32.5, (0 2 4); 2θ = 29.92°, I = 32.9, (0 4 2); 2θ = 30.18°, I = 27.9, (1 2 2); 2θ = 31.66°, I = 100.0, (1 1 3); 2θ = 47.93°, I = 12.0, (2 0 0); 2θ = 55.13°, I = 10.9, (0 8 0); 2θ = 57.49°, I = 20.6, (2 4 2); 2θ = 57.64°, I = 9.2, (1 3 7); 2θ = 57.95°, I = 9.3, (1 7 3); 2θ = 78.92°, I = 8.8, (2 6 6)

Structure:
```
data_Pm4Nd3Ho3
_chemical_formula_sum 'Pm8 Nd6 Ho6'
_cell_length_a 3.7960
_cell_length_b 13.3323
_cell_length_c 13.4459
_cell_angle_alpha 90.00
_cell_angle_beta 90.00
_cell_angle_gamma 90.00
_symmetry_space_group_name_H-M 'A m m 2'
_symmetry_Int_Tables_number 38
_symmetry_space_group_name_Hall 'A 2 -2'
loop_
_atom_site_label
_atom_site_type_symbol
_atom_site_fract_x
_atom_site_fract_y
_atom_site_fract_z
Pm1 Pm 0.0000 0.0000 0.0000
Pm2 Pm 0.0000 0.0000 0.2619
Pm3 Pm 0.0000 0.1292 0.6334
Nd1 Nd 0.5000 0.0000 0.4612
Nd2 Nd 0.5000 0.1703 0.1311
Ho1 Ho 0.0000 0.2463 0.8805
Ho2 Ho 0.5000 0.0000 0.8022
```

# 2
This entry pairs a crystal structure of Pm8Nd3Ho3 with its computed X-ray powder pattern. Radiation: Cu Kα. Structure: the PBE geometry in Alexandria.

Largest 10 diffraction maxima, low angle first, 2θ from 10° to 90°:
2θ = 28.56°, I = 14.8, (1 2 3); 2θ = 29.26°, I = 33.1, (1 1 4); 2θ = 30.15°, I = 29.7, (0 3 3); 2θ = 31.16°, I = 52.8, (2 0 0); 2θ = 31.33°, I = 100.0, (1 3 2); 2θ = 33.23°, I = 53.3, (1 0 5); 2θ = 43.91°, I = 21.3, (2 3 3); 2θ = 55.55°, I = 19.9, (3 3 2); 2θ = 56.76°, I = 20.7, (3 0 5); 2θ = 61.37°, I = 15.3, (1 6 5)

Structure:
```
data_Pm8Nd3Ho3
_chemical_formula_sum 'Pm16 Nd6 Ho6'
_cell_length_a 5.7412
_cell_length_b 10.9387
_cell_length_c 15.2709
_cell_angle_alpha 90.00
_cell_angle_beta 90.00
_cell_angle_gamma 90.00
_symmetry_space_group_name_H-M 'I m m m'
_symmetry_Int_Tables_number 71
_symmetry_space_group_name_Hall '-I 2 2'
loop_
_atom_site_label
_atom_site_type_symbol
_atom_site_fract_x
_atom_site_fract_y
_atom_site_fract_z
Pm1 Pm 0.0000 0.1595 0.2215
Pm2 Pm 0.0000 0.3386 0.3970
Nd1 Nd 0.0000 0.0000 0.5000
Nd2 Nd 0.0000 0.5000 0.1803
Ho1 Ho 0.0000 0.0000 0.0000
Ho2 Ho 0.0000 0.2984 0.0000
```

# 3
This entry pairs a crystal structure of PmNd4Ho15 with its computed X-ray powder pattern. Radiation: Cu Kα. Structure: the PBE geometry in Alexandria.

Largest 10 diffraction maxima, low angle first, 2θ from 10° to 90°:
2θ = 30.73°, I = 100.0, (1 1 5); 2θ = 35.58°, I = 33.9, (2 0 0); 2θ = 35.75°, I = 16.7, (0 0 10); 2θ = 51.19°, I = 12.1, (2 2 0); 2θ = 51.33°, I = 24.0, (2 0 10); 2θ = 60.91°, I = 28.7, (3 1 5); 2θ = 61.14°, I = 14.2, (1 1 15); 2θ = 64.01°, I = 12.4, (2 2 10); 2θ = 83.52°, I = 6.0, (3 3 5); 2θ = 83.72°, I = 11.9, (3 1 15)

Structure:
```
data_PmNd4Ho15
_chemical_formula_sum 'Pm1 Nd4 Ho15'
_cell_length_a 5.0469
_cell_length_b 5.0469
_cell_length_c 25.1154
_cell_angle_alpha 90.00
_cell_angle_beta 90.00
_cell_angle_gamma 90.00
_symmetry_space_group_name_H-M 'P 4/m m m'
_symmetry_Int_Tables_number 123
_symmetry_space_group_name_Hall '-P 4 2'
loop_
_atom_site_label
_atom_site_type_symbol
_atom_site_fract_x
_atom_site_fract_y
_atom_site_fract_z
Pm1 Pm 0.0000 0.0000 0.0000
Nd1 Nd 0.0000 0.0000 0.1999
Nd2 Nd 0.0000 0.0000 0.4000
Ho1 Ho 0.0000 0.5000 0.0997
Ho2 Ho 0.0000 0.5000 0.3000
Ho3 Ho 0.0000 0.5000 0.5000
Ho4 Ho 0.5000 0.5000 0.0000
Ho5 Ho 0.5000 0.5000 0.1999
Ho6 Ho 0.5000 0.5000 0.4000
```

# 4
This entry pairs a crystal structure of Pm4Nd19Ho6 with its computed X-ray powder pattern. Radiation: Cu Kα. Structure: the PBE geometry in Alexandria.

Largest 10 diffraction maxima, low angle first, 2θ from 10° to 90°:
2θ = 26.19°, I = 51.5, (3 2 1); 2θ = 28.03°, I = 59.3, (4 0 0); 2θ = 29.77°, I = 100.0, (4 1 1); 2θ = 34.51°, I = 37.0, (4 2 2); 2θ = 35.96°, I = 74.3, (4 3 1); 2θ = 41.34°, I = 24.7, (4 3 3); 2θ = 46.20°, I = 19.4, (5 1 4); 2θ = 52.83°, I = 24.6, (7 2 1); 2θ = 58.93°, I = 28.8, (7 4 1); 2θ = 59.90°, I = 25.2, (8 2 0)

Structure:
```
data_Pm4Nd19Ho6
_chemical_formula_sum 'Pm8 Nd38 Ho12'
_cell_length_a 12.7334
_cell_length_b 12.7334
_cell_length_c 12.7334
_cell_angle_alpha 90.00
_cell_angle_beta 90.00
_cell_angle_gamma 90.00
_symmetry_space_group_name_H-M 'I 2 3'
_symmetry_Int_Tables_number 197
_symmetry_space_group_name_Hall 'I 2 2 3'
loop_
_atom_site_label
_atom_site_type_symbol
_atom_site_fract_x
_atom_site_fract_y
_atom_site_fract_z
Pm1 Pm 0.1822 0.1822 0.1822
Nd1 Nd 0.0000 0.0000 0.0000
Nd2 Nd 0.0000 0.0000 0.2596
Nd3 Nd 0.0604 0.2817 0.7371
Ho1 Ho 0.0000 0.1238 0.5000
```

# 5
This entry pairs a crystal structure of Pm4Nd4Ho with its computed X-ray powder pattern. Radiation: Cu Kα. Structure: the PBE geometry in Alexandria.

Largest 10 diffraction maxima, low angle first, 2θ from 10° to 90°:
2θ = 29.97°, I = 100.0, (3 1 0); 2θ = 34.75°, I = 50.7, (2 0 3); 2θ = 49.96°, I = 36.3, (6 0 0); 2θ = 59.36°, I = 43.3, (5 1 3); 2θ = 62.29°, I = 12.5, (6 2 0); 2θ = 73.31°, I = 3.9, (0 4 0); 2θ = 73.39°, I = 1.9, (4 0 6); 2θ = 81.20°, I = 17.6, (9 1 0); 2θ = 83.77°, I = 15.0, (2 4 3); 2θ = 83.85°, I = 1.4, (8 0 3)

Structure:
```
data_Pm4Nd4Ho
_chemical_formula_sum 'Pm8 Nd8 Ho2'
_cell_length_a 11.5436
_cell_length_b 5.1669
_cell_length_c 10.9529
_cell_angle_alpha 90.00
_cell_angle_beta 108.48
_cell_angle_gamma 90.00
_symmetry_space_group_name_H-M 'C 1 2/m 1'
_symmetry_Int_Tables_number 12
_symmetry_space_group_name_Hall '-C 2y'
loop_
_atom_site_label
_atom_site_type_symbol
_atom_site_fract_x
_atom_site_fract_y
_atom_site_fract_z
Pm1 Pm 0.1654 0.0000 0.2212
Pm2 Pm 0.1665 0.0000 0.5551
Nd1 Nd 0.0009 0.5000 0.6684
Nd2 Nd 0.1675 0.0000 0.8902
Ho1 Ho 0.0000 0.5000 0.0000
```

# 6
This entry pairs a crystal structure of PmNd7Ho3 with its computed X-ray powder pattern. Radiation: Cu Kα. Structure: the PBE geometry in Alexandria.

Largest 10 diffraction maxima, low angle first, 2θ from 10° to 90°:
2θ = 28.61°, I = 30.3, (2 2 -2); 2θ = 29.23°, I = 29.2, (0 2 2); 2θ = 30.94°, I = 51.7, (6 0 0); 2θ = 31.62°, I = 100.0, (0 0 4); 2θ = 33.31°, I = 85.9, (6 0 -4); 2θ = 50.29°, I = 39.2, (4 2 -6); 2θ = 54.35°, I = 21.7, (6 0 4); 2θ = 57.63°, I = 18.0, (12 0 -4); 2θ = 60.22°, I = 45.5, (2 2 6); 2θ = 86.00°, I = 17.7, (8 2 6)

Structure:
```
data_PmNd7Ho3
_chemical_formula_sum 'Pm4 Nd28 Ho12'
_cell_length_a 19.2656
_cell_length_b 7.2551
_cell_length_c 12.5756
_cell_angle_alpha 90.00
_cell_angle_beta 115.82
_cell_angle_gamma 90.00
_symmetry_space_group_name_H-M 'C 1 2/c 1'
_symmetry_Int_Tables_number 15
_symmetry_space_group_name_Hall '-C 2yc'
loop_
_atom_site_label
_atom_site_type_symbol
_atom_site_fract_x
_atom_site_fract_y
_atom_site_fract_z
Pm1 Pm 0.0000 0.0000 0.0000
Nd1 Nd 0.0000 0.2358 0.2500
Nd2 Nd 0.1607 0.4931 0.7750
Nd3 Nd 0.1680 0.2477 0.5296
Nd4 Nd 0.1677 0.2490 0.0287
Ho1 Ho 0.0000 0.5000 0.0000
Ho2 Ho 0.1687 0.0036 0.2761
```

# 7
This entry pairs a crystal structure of Pm5Nd2Ho5 with its computed X-ray powder pattern. Radiation: Cu Kα. Structure: the PBE geometry in Alexandria.

Largest 10 diffraction maxima, low angle first, 2θ from 10° to 90°:
2θ = 30.39°, I = 100.0, (3 1 1); 2θ = 35.20°, I = 33.9, (0 0 4); 2θ = 35.31°, I = 16.8, (0 2 0); 2θ = 50.63°, I = 12.1, (6 0 2); 2θ = 50.71°, I = 24.1, (0 2 4); 2θ = 60.20°, I = 28.8, (3 1 5); 2θ = 60.35°, I = 14.3, (3 3 1); 2θ = 63.23°, I = 12.4, (6 2 2); 2θ = 82.56°, I = 11.8, (3 3 5); 2θ = 85.13°, I = 8.3, (12 0 0)

Structure:
```
data_Pm5Nd2Ho5
_chemical_formula_sum 'Pm10 Nd4 Ho10'
_cell_length_a 15.2932
_cell_length_b 5.0842
_cell_length_c 11.4116
_cell_angle_alpha 90.00
_cell_angle_beta 116.60
_cell_angle_gamma 90.00
_symmetry_space_group_name_H-M 'C 1 2/m 1'
_symmetry_Int_Tables_number 12
_symmetry_space_group_name_Hall '-C 2y'
loop_
_atom_site_label
_atom_site_type_symbol
_atom_site_fract_x
_atom_site_fract_y
_atom_site_fract_z
Pm1 Pm 0.0000 0.0000 0.0000
Pm2 Pm 0.1658 0.0000 0.4992
Pm3 Pm 0.2487 0.0000 0.2478
Nd1 Nd 0.0828 0.0000 0.7510
Ho1 Ho 0.0000 0.5000 0.5000
Ho2 Ho 0.0831 0.5000 0.2492
Ho3 Ho 0.1670 0.5000 0.0007
```

# 8
This entry pairs a crystal structure of Pm2Nd12Ho with its computed X-ray powder pattern. Radiation: Cu Kα. Structure: the PBE geometry in Alexandria.

Largest 10 diffraction maxima, low angle first, 2θ from 10° to 90°:
2θ = 28.45°, I = 30.0, (2 0 4); 2θ = 29.18°, I = 52.1, (0 2 7); 2θ = 29.90°, I = 70.7, (2 2 2); 2θ = 30.60°, I = 72.2, (0 4 0); 2θ = 30.97°, I = 22.3, (2 2 3); 2θ = 32.36°, I = 100.0, (0 2 8); 2θ = 36.22°, I = 42.3, (2 2 6); 2θ = 55.52°, I = 20.3, (0 6 8); 2θ = 57.14°, I = 20.1, (2 4 11); 2θ = 60.16°, I = 20.3, (4 4 0)

Structure:
```
data_Pm2Nd12Ho
_chemical_formula_sum 'Pm8 Nd48 Ho4'
_cell_length_a 7.2362
_cell_length_b 11.6859
_cell_length_c 25.1504
_cell_angle_alpha 90.00
_cell_angle_beta 90.00
_cell_angle_gamma 90.00
_symmetry_space_group_name_H-M 'C m m e'
_symmetry_Int_Tables_number 67
_symmetry_space_group_name_Hall '-C 2a 2'
loop_
_atom_site_label
_atom_site_type_symbol
_atom_site_fract_x
_atom_site_fract_y
_atom_site_fract_z
Pm1 Pm 0.0000 0.2500 0.2269
Pm2 Pm 0.0000 0.2500 0.7669
Nd1 Nd 0.0000 0.0015 0.5739
Nd2 Nd 0.0000 0.0248 0.0599
Nd3 Nd 0.2292 0.2500 0.9173
Nd4 Nd 0.2483 0.2500 0.3722
Nd5 Nd 0.2500 0.0000 0.1742
Nd6 Nd 0.2500 0.0000 0.3014
Ho1 Ho 0.0000 0.2500 0.4994
```

# 9
This entry pairs a crystal structure of PmNd3Ho4 with its computed X-ray powder pattern. Radiation: Cu Kα. Structure: the PBE geometry in Alexandria.

Largest 10 diffraction maxima, low angle first, 2θ from 10° to 90°:
2θ = 28.19°, I = 23.3, (0 2 1); 2θ = 28.31°, I = 11.9, (0 0 2); 2θ = 30.97°, I = 37.0, (4 0 0); 2θ = 32.25°, I = 100.0, (2 2 1); 2θ = 32.35°, I = 49.1, (2 0 2); 2θ = 42.40°, I = 23.6, (4 0 2); 2θ = 50.04°, I = 19.4, (0 2 3); 2θ = 55.92°, I = 31.4, (6 2 1); 2θ = 60.02°, I = 22.6, (4 2 3); 2θ = 60.66°, I = 16.2, (2 4 2)

Structure:
```
data_PmNd3Ho4
_chemical_formula_sum 'Pm2 Nd6 Ho8'
_cell_length_a 11.5496
_cell_length_b 7.3218
_cell_length_c 6.3050
_cell_angle_alpha 90.00
_cell_angle_beta 90.00
_cell_angle_gamma 90.00
_symmetry_space_group_name_H-M 'P m n 21'
_symmetry_Int_Tables_number 31
_symmetry_space_group_name_Hall 'P 2ac -2'
loop_
_atom_site_label
_atom_site_type_symbol
_atom_site_fract_x
_atom_site_fract_y
_atom_site_fract_z
Pm1 Pm 0.0000 0.1288 0.0000
Nd1 Nd 0.0000 0.8724 0.4987
Nd2 Nd 0.2495 0.8721 0.8353
Ho1 Ho 0.0000 0.3786 0.5012
Ho2 Ho 0.0000 0.6208 0.0003
Ho3 Ho 0.2499 0.3790 0.8337
```

# 10
This entry pairs a crystal structure of PmNd5Ho5 with its computed X-ray powder pattern. Radiation: Cu Kα. Structure: the PBE geometry in Alexandria.

Largest 10 diffraction maxima, low angle first, 2θ from 10° to 90°:
2θ = 31.12°, I = 100.0, (2 0 -1); 2θ = 31.38°, I = 58.5, (0 2 -1); 2θ = 31.53°, I = 80.0, (0 2 2); 2θ = 31.74°, I = 81.6, (2 2 1); 2θ = 32.07°, I = 24.5, (1 2 -1); 2θ = 32.22°, I = 75.6, (2 0 2); 2θ = 33.22°, I = 67.4, (0 0 3); 2θ = 33.58°, I = 30.2, (1 -2 0); 2θ = 55.46°, I = 29.2, (4 0 1); 2θ = 57.37°, I = 24.3, (4 2 3)

Structure:
```
data_PmNd5Ho5
_chemical_formula_sum 'Pm1 Nd5 Ho5'
_cell_length_a 6.9620
_cell_length_b 7.0230
_cell_length_c 8.4779
_cell_angle_alpha 75.38
_cell_angle_beta 76.80
_cell_angle_gamma 72.41
_symmetry_space_group_name_H-M 'P -1'
_symmetry_Int_Tables_number 2
_symmetry_space_group_name_Hall '-P 1'
loop_
_atom_site_label
_atom_site_type_symbol
_atom_site_fract_x
_atom_site_fract_y
_atom_site_fract_z
Pm1 Pm 0.0000 0.0000 0.0000
Nd1 Nd 0.0000 0.5000 0.0000
Nd2 Nd 0.1587 0.1324 0.3580
Nd3 Nd 0.3623 0.7386 0.7318
Ho1 Ho 0.2011 0.6426 0.3158
Ho2 Ho 0.3284 0.2714 0.6525
Ho3 Ho 0.5000 0.0000 0.0000
```

# 11
This entry pairs a crystal structure of Pm8NdHo5 with its computed X-ray powder pattern. Radiation: Cu Kα. Structure: the PBE geometry in Alexandria.

Largest 10 diffraction maxima, low angle first, 2θ from 10° to 90°:
2θ = 27.44°, I = 54.6, (1 0 3); 2θ = 29.15°, I = 65.8, (3 0 1); 2θ = 29.36°, I = 72.4, (1 3 0); 2θ = 31.47°, I = 24.3, (2 2 2); 2θ = 33.27°, I = 100.0, (2 1 3); 2θ = 34.18°, I = 40.1, (1 3 2); 2θ = 34.72°, I = 48.6, (3 2 1); 2θ = 54.60°, I = 19.9, (5 0 3); 2θ = 55.53°, I = 16.7, (4 2 4); 2θ = 61.77°, I = 20.8, (1 3 6)

Structure:
```
data_Pm8NdHo5
_chemical_formula_sum 'Pm16 Nd2 Ho10'
_cell_length_a 9.6200
_cell_length_b 9.6200
_cell_length_c 10.3610
_cell_angle_alpha 90.00
_cell_angle_beta 90.00
_cell_angle_gamma 90.00
_symmetry_space_group_name_H-M 'I -4'
_symmetry_Int_Tables_number 82
_symmetry_space_group_name_Hall 'I -4'
loop_
_atom_site_label
_atom_site_type_symbol
_atom_site_fract_x
_atom_site_fract_y
_atom_site_fract_z
Pm1 Pm 0.0698 0.1745 0.3508
Pm2 Pm 0.0881 0.3225 0.0027
Nd1 Nd 0.0000 0.0000 0.0000
Ho1 Ho 0.0000 0.5000 0.2500
Ho2 Ho 0.1100 0.2950 0.6775
```

# 12
This entry pairs a crystal structure of PmNd2Ho9 with its computed X-ray powder pattern. Radiation: Cu Kα. Structure: the PBE geometry in Alexandria.

Largest 10 diffraction maxima, low angle first, 2θ from 10° to 90°:
2θ = 30.00°, I = 23.3, (1 1 1); 2θ = 31.40°, I = 56.1, (2 0 1); 2θ = 31.77°, I = 100.0, (2 2 0); 2θ = 35.30°, I = 16.9, (2 1 1); 2θ = 37.71°, I = 13.3, (3 0 1); 2θ = 45.27°, I = 19.7, (4 0 1); 2θ = 56.36°, I = 20.3, (4 2 1); 2θ = 56.59°, I = 18.2, (6 0 0); 2θ = 62.35°, I = 29.7, (2 2 2); 2θ = 80.53°, I = 14.1, (6 0 2)

Structure:
```
data_PmNd2Ho9
_chemical_formula_sum 'Pm1 Nd2 Ho9'
_cell_length_a 11.2680
_cell_length_b 11.2680
_cell_length_c 3.5093
_cell_angle_alpha 90.00
_cell_angle_beta 90.00
_cell_angle_gamma 120.00
_symmetry_space_group_name_H-M 'P 6/m m m'
_symmetry_Int_Tables_number 191
_symmetry_space_group_name_Hall '-P 6 2'
loop_
_atom_site_label
_atom_site_type_symbol
_atom_site_fract_x
_atom_site_fract_y
_atom_site_fract_z
Pm1 Pm 0.0000 0.0000 0.0000
Nd1 Nd 0.3333 0.6667 0.0000
Ho1 Ho 0.0000 0.5000 0.0000
Ho2 Ho 0.1753 0.3505 0.5000
```